The following is a computed powder X-ray diffraction pattern of ReTe2Pb. It was derived from DFT lattice parameters and positions (PBE), using Cu Kα (λ = 1.5418 Å).
Neutral-atom scattering factors, no anomalous dispersion.

Structure:
```
ReTe2Pb
1.0
3.530 0.000 0.000
-1.765 3.057 0.000
0.000 0.000 30.831
Re Te Pb
3 6 3
direct
0.000 0.000 0.000
0.333 0.667 0.667
0.667 0.333 0.333
0.000 0.000 0.392
0.000 0.000 0.608
0.333 0.667 0.059
0.333 0.667 0.275
0.667 0.333 0.725
0.667 0.333 0.941
0.000 0.000 0.500
0.333 0.667 0.167
0.667 0.333 0.833
```

Peak list (8 most intense, 15° ≤ 2θ ≤ 90°, low angle first)
two_theta, intensity
17.26, 35
29.36, 25
29.79, 100
32.69, 19
37.55, 85
41.60, 77
51.79, 45
77.68, 26


The following is a computed powder X-ray diffraction pattern of ReTePb4. It was derived from DFT lattice parameters and positions (PBE), using Cu Kα (λ = 1.5418 Å).
Neutral-atom scattering factors, no anomalous dispersion.

Structure:
```
ReTePb4
1.0
0.000 4.490 4.490
4.490 0.000 4.490
4.490 4.490 0.000
Re Te Pb
1 1 4
direct
0.000 0.000 0.000
0.750 0.750 0.750
0.374 0.374 0.374
0.374 0.374 0.877
0.374 0.877 0.374
0.877 0.374 0.374
```

Peak list (8 most intense, 15° ≤ 2θ ≤ 90°, low angle first)
two_theta, intensity
17.10, 15
28.10, 18
33.08, 100
34.60, 51
52.98, 36
58.11, 33
69.42, 21
82.51, 23


The following is a computed powder X-ray diffraction pattern of Th4RePb. It was derived from DFT lattice parameters and positions (PBE), using Cu Kα (λ = 1.5418 Å).
Neutral-atom scattering factors, no anomalous dispersion.

Structure:
```
Th4RePb
1.0
7.534 0.000 0.000
0.000 7.534 0.000
0.000 0.000 6.231
Th Re Pb
8 2 2
direct
0.138 0.316 0.000
0.138 0.684 0.500
0.316 0.138 0.500
0.316 0.862 0.000
0.684 0.138 0.000
0.684 0.862 0.500
0.862 0.316 0.500
0.862 0.684 0.000
0.000 0.000 0.250
0.000 0.000 0.750
0.500 0.500 0.250
0.500 0.500 0.750
```

Peak list (8 most intense, 15° ≤ 2θ ≤ 90°, low angle first)
two_theta, intensity
30.15, 100
33.32, 35
37.46, 39
37.76, 43
51.70, 23
57.15, 14
59.96, 22
72.50, 13


The following is a computed powder X-ray diffraction pattern of Ti8RePb2. It was derived from DFT lattice parameters and positions (PBE), using Cu Kα (λ = 1.5418 Å).
Neutral-atom scattering factors, no anomalous dispersion.

Structure:
```
Ti8RePb2
1.0
-2.347 3.182 6.795
2.347 -3.182 6.795
2.347 3.182 -6.795
Ti Re Pb
8 1 2
direct
0.129 0.366 0.762
0.166 0.166 0.000
0.253 0.000 0.253
0.396 0.634 0.762
0.604 0.366 0.238
0.747 0.000 0.747
0.834 0.834 0.000
0.871 0.634 0.238
0.000 0.500 0.500
0.312 0.812 0.500
0.688 0.188 0.500
```

Peak list (8 most intense, 15° ≤ 2θ ≤ 90°, low angle first)
two_theta, intensity
23.55, 54
24.12, 49
27.36, 26
38.32, 44
39.58, 100
39.80, 16
45.81, 19
70.17, 18


The following is a computed powder X-ray diffraction pattern of RePb4W. It was derived from DFT lattice parameters and positions (PBE), using Cu Kα (λ = 1.5418 Å).
Neutral-atom scattering factors, no anomalous dispersion.

Structure:
```
RePb4W
1.0
0.000 4.351 4.351
4.351 0.000 4.351
4.351 4.351 0.000
Re Pb W
1 4 1
direct
0.000 0.000 0.000
0.375 0.375 0.375
0.375 0.375 0.875
0.375 0.875 0.375
0.875 0.375 0.375
0.750 0.750 0.750
```

Peak list (8 most intense, 15° ≤ 2θ ≤ 90°, low angle first)
two_theta, intensity
29.02, 23
34.18, 100
35.75, 45
54.82, 35
60.16, 32
71.04, 12
71.98, 18
85.77, 24


The following is a computed powder X-ray diffraction pattern of RhPb6. It was derived from DFT lattice parameters and positions (PBE), using Cu Kα (λ = 1.5418 Å).
Neutral-atom scattering factors, no anomalous dispersion.

Structure:
```
RhPb6
1.0
5.364 -5.328 0.000
5.364 5.328 0.000
0.000 0.000 7.344
Rh Pb
2 12
direct
0.151 0.849 0.750
0.849 0.151 0.250
0.017 0.495 0.750
0.153 0.153 0.000
0.153 0.153 0.500
0.346 0.654 0.022
0.346 0.654 0.478
0.495 0.017 0.250
0.505 0.983 0.750
0.654 0.346 0.522
0.654 0.346 0.978
0.847 0.847 0.000
0.847 0.847 0.500
0.983 0.505 0.250
```

Peak list (8 most intense, 15° ≤ 2θ ≤ 90°, low angle first)
two_theta, intensity
26.29, 52
26.46, 60
29.52, 100
34.04, 72
36.06, 69
36.17, 75
37.55, 53
37.71, 56


The following is a computed powder X-ray diffraction pattern of RhPb2. It was derived from DFT lattice parameters and positions (PBE), using Cu Kα (λ = 1.5418 Å).
Neutral-atom scattering factors, no anomalous dispersion.

Structure:
```
RhPb2
1.0
3.368 0.000 0.000
0.000 3.368 0.000
0.000 0.000 25.899
Rh Pb
4 8
direct
0.000 0.250 0.375
0.000 0.750 0.625
0.500 0.250 0.125
0.500 0.750 0.875
0.000 0.250 0.809
0.000 0.250 0.941
0.000 0.750 0.059
0.000 0.750 0.191
0.500 0.250 0.559
0.500 0.250 0.691
0.500 0.750 0.309
0.500 0.750 0.441
```

Peak list (8 most intense, 15° ≤ 2θ ≤ 90°, low angle first)
two_theta, intensity
26.69, 61
27.55, 35
31.69, 50
36.06, 100
38.43, 98
41.26, 56
63.70, 33
67.09, 34


The following is a computed powder X-ray diffraction pattern of RhPb2. It was derived from DFT lattice parameters and positions (PBE), using Cu Kα (λ = 1.5418 Å).
Neutral-atom scattering factors, no anomalous dispersion.

Structure:
```
RhPb2
1.0
7.191 0.000 0.000
0.000 6.377 0.000
-2.845 0.000 6.478
Rh Pb
4 8
direct
0.209 0.032 0.029
0.209 0.468 0.529
0.791 0.532 0.471
0.791 0.968 0.971
0.116 0.639 0.846
0.116 0.861 0.346
0.408 0.140 0.776
0.408 0.360 0.276
0.592 0.640 0.724
0.592 0.860 0.224
0.884 0.139 0.654
0.884 0.361 0.154
```

Peak list (8 most intense, 15° ≤ 2θ ≤ 90°, low angle first)
two_theta, intensity
28.97, 30
29.93, 36
30.56, 70
31.27, 100
33.13, 31
38.01, 51
40.92, 36
49.93, 30


The following is a computed powder X-ray diffraction pattern of Rh2Pb. It was derived from DFT lattice parameters and positions (PBE), using Cu Kα (λ = 1.5418 Å).
Neutral-atom scattering factors, no anomalous dispersion.

Structure:
```
Rh2Pb
1.0
10.018 0.000 0.000
0.000 3.166 0.000
-1.269 0.000 6.706
Rh Pb
8 4
direct
0.000 0.000 0.000
0.085 0.000 0.625
0.222 0.500 0.366
0.366 0.000 0.685
0.500 0.500 0.000
0.585 0.500 0.625
0.722 0.000 0.366
0.866 0.500 0.685
0.218 0.500 0.937
0.443 0.000 0.312
0.718 0.000 0.937
0.943 0.500 0.312
```

Peak list (8 most intense, 15° ≤ 2θ ≤ 90°, low angle first)
two_theta, intensity
33.28, 51
35.07, 21
36.50, 22
39.03, 100
39.55, 78
40.35, 39
41.30, 68
73.92, 32


The following is a computed powder X-ray diffraction pattern of Rh3Pb. It was derived from DFT lattice parameters and positions (PBE), using Cu Kα (λ = 1.5418 Å).
Neutral-atom scattering factors, no anomalous dispersion.

Structure:
```
Rh3Pb
1.0
4.091 0.000 0.000
0.000 4.091 0.000
0.000 0.000 7.769
Rh Pb
6 2
direct
0.000 0.000 0.000
0.000 0.500 0.250
0.000 0.500 0.750
0.500 0.000 0.250
0.500 0.000 0.750
0.500 0.500 0.500
0.000 0.000 0.500
0.500 0.500 0.000
```

Peak list (8 most intense, 15° ≤ 2θ ≤ 90°, low angle first)
two_theta, intensity
38.82, 100
44.28, 34
46.77, 15
64.42, 11
66.37, 21
77.82, 26
81.44, 12
83.30, 11


The following is a computed powder X-ray diffraction pattern of RhPb8. It was derived from DFT lattice parameters and positions (PBE), using Cu Kα (λ = 1.5418 Å).
Neutral-atom scattering factors, no anomalous dispersion.

Structure:
```
RhPb8
1.0
-5.139 5.139 2.446
5.139 -5.139 2.446
5.139 5.139 -2.446
Rh Pb
1 8
direct
0.000 0.000 0.000
0.000 0.311 0.311
0.000 0.689 0.689
0.311 0.000 0.311
0.344 0.344 0.688
0.344 0.656 0.000
0.656 0.344 0.000
0.656 0.656 0.312
0.689 0.000 0.689
```

Peak list (8 most intense, 15° ≤ 2θ ≤ 90°, low angle first)
two_theta, intensity
31.89, 100
36.74, 18
37.11, 32
53.22, 23
63.14, 15
63.64, 22
66.66, 10
87.33, 10


The following is a computed powder X-ray diffraction pattern of Rh3Pb. It was derived from DFT lattice parameters and positions (PBE), using Cu Kα (λ = 1.5418 Å).
Neutral-atom scattering factors, no anomalous dispersion.

Structure:
```
Rh3Pb
1.0
2.970 0.000 0.000
0.000 9.146 0.000
0.000 0.000 4.846
Rh Pb
6 2
direct
0.000 0.000 0.000
0.000 0.256 0.671
0.000 0.744 0.671
0.500 0.244 0.171
0.500 0.500 0.500
0.500 0.756 0.171
0.000 0.500 0.012
0.500 0.000 0.512
```

Peak list (8 most intense, 15° ≤ 2θ ≤ 90°, low angle first)
two_theta, intensity
35.45, 26
39.41, 35
40.73, 100
42.21, 43
54.04, 15
65.82, 16
72.36, 18
79.50, 18


The following is a computed powder X-ray diffraction pattern of SbRh2Pb. It was derived from DFT lattice parameters and positions (PBE), using Cu Kα (λ = 1.5418 Å).
Neutral-atom scattering factors, no anomalous dispersion.

Structure:
```
SbRh2Pb
1.0
8.014 0.000 0.000
0.000 6.723 0.000
-0.001 0.000 5.910
Sb Rh Pb
4 8 4
direct
0.126 0.076 0.200
0.126 0.424 0.700
0.874 0.576 0.300
0.874 0.924 0.800
0.106 0.707 0.007
0.106 0.793 0.507
0.352 0.210 0.494
0.352 0.290 0.994
0.648 0.710 0.006
0.648 0.790 0.506
0.894 0.207 0.493
0.894 0.293 0.993
0.380 0.600 0.289
0.380 0.900 0.789
0.620 0.100 0.211
0.620 0.400 0.711
```

Peak list (8 most intense, 15° ≤ 2θ ≤ 90°, low angle first)
two_theta, intensity
30.04, 100
30.60, 58
38.12, 26
40.22, 82
40.65, 28
45.26, 31
46.43, 47
55.62, 22


The following is a computed powder X-ray diffraction pattern of RhPb2Se. It was derived from DFT lattice parameters and positions (PBE), using Cu Kα (λ = 1.5418 Å).
Neutral-atom scattering factors, no anomalous dispersion.

Structure:
```
RhPb2Se
1.0
3.939 0.000 0.000
-1.969 3.411 0.000
0.000 0.000 21.810
Rh Pb Se
3 6 3
direct
0.000 0.000 0.000
0.333 0.667 0.667
0.667 0.333 0.333
0.000 0.000 0.259
0.000 0.000 0.741
0.333 0.667 0.407
0.333 0.667 0.926
0.667 0.333 0.074
0.667 0.333 0.593
0.000 0.000 0.500
0.333 0.667 0.167
0.667 0.333 0.833
```

Peak list (8 most intense, 15° ≤ 2θ ≤ 90°, low angle first)
two_theta, intensity
27.40, 19
30.92, 100
42.45, 38
46.09, 35
56.54, 18
70.51, 14
75.82, 16
82.82, 11